Record 1
For CoSi, DFT lattice parameters and positions (PBE) gives the calculated X-ray diffraction stick pattern in this record (a wavelength of 1.5418 Å).
Neutral-atom scattering factors, no anomalous dispersion.

Cell and atoms:
```
data_CoSi
_cell_length_a 2.781
_cell_length_b 2.781
_cell_length_c 2.781
_cell_angle_alpha 90.00
_cell_angle_beta 90.00
_cell_angle_gamma 90.00
_symmetry_space_group_name_H-M 'P 1'
_symmetry_Int_Tables_number 1
loop_
_symmetry_equiv_pos_as_xyz
'x,y,z'
loop_
_atom_site_label
_atom_site_type_symbol
_atom_site_fract_x
_atom_site_fract_y
_atom_site_fract_z
_atom_site_occupancy
Co1 Co 0.000 0.000 0.000 1
Si1 Si 0.500 0.500 0.500 1
```

Main lines, sorted by position (5° ≤ 2θ ≤ 70°):
Position (°2θ)  I (rel.)
32.19  20
46.17  100
57.40  4
67.35  15



Record 2
For Co5Si, DFT lattice parameters and positions (PBE) gives the calculated X-ray diffraction stick pattern in this record (a wavelength of 1.5418 Å).
Neutral-atom scattering factors, no anomalous dispersion.

Cell and atoms:
```
data_Co5Si
_cell_length_a 3.527
_cell_length_b 7.404
_cell_length_c 4.941
_cell_angle_alpha 90.00
_cell_angle_beta 90.00
_cell_angle_gamma 90.00
_symmetry_space_group_name_H-M 'P 1'
_symmetry_Int_Tables_number 1
loop_
_symmetry_equiv_pos_as_xyz
'x,y,z'
loop_
_atom_site_label
_atom_site_type_symbol
_atom_site_fract_x
_atom_site_fract_y
_atom_site_fract_z
_atom_site_occupancy
Co1 Co 0.250 0.081 0.124 1
Co2 Co 0.250 0.085 0.627 1
Co3 Co 0.250 0.415 0.627 1
Co4 Co 0.250 0.419 0.124 1
Co5 Co 0.250 0.750 0.123 1
Co6 Co 0.750 0.250 0.877 1
Co7 Co 0.750 0.581 0.876 1
Co8 Co 0.750 0.585 0.373 1
Co9 Co 0.750 0.915 0.373 1
Co10 Co 0.750 0.919 0.876 1
Si1 Si 0.250 0.750 0.621 1
Si2 Si 0.750 0.250 0.379 1
```

Main lines, sorted by position (5° ≤ 2θ ≤ 70°):
Position (°2θ)  I (rel.)
17.95  1
21.62  2
28.02  2
44.81  100
51.85  16
52.40  30



Record 3
For CoSi, DFT lattice parameters and positions (PBE) gives the calculated X-ray diffraction stick pattern in this record (a wavelength of 1.5418 Å).
Neutral-atom scattering factors, no anomalous dispersion.

Cell and atoms:
```
data_CoSi
_cell_length_a 4.431
_cell_length_b 4.431
_cell_length_c 4.431
_cell_angle_alpha 90.00
_cell_angle_beta 90.00
_cell_angle_gamma 90.00
_symmetry_space_group_name_H-M 'P 1'
_symmetry_Int_Tables_number 1
loop_
_symmetry_equiv_pos_as_xyz
'x,y,z'
loop_
_atom_site_label
_atom_site_type_symbol
_atom_site_fract_x
_atom_site_fract_y
_atom_site_fract_z
_atom_site_occupancy
Co1 Co 0.145 0.145 0.145 1
Co2 Co 0.355 0.855 0.645 1
Co3 Co 0.645 0.355 0.855 1
Co4 Co 0.855 0.645 0.355 1
Si1 Si 0.157 0.343 0.657 1
Si2 Si 0.343 0.657 0.157 1
Si3 Si 0.657 0.157 0.343 1
Si4 Si 0.843 0.843 0.843 1
```

Main lines, sorted by position (5° ≤ 2θ ≤ 70°):
Position (°2θ)  I (rel.)
28.49  20
35.08  16
40.73  10
45.79  100
50.45  47
62.93  6



Record 4
For Sm4Co10Si, DFT lattice parameters and positions (PBE) gives the calculated X-ray diffraction stick pattern in this record (a wavelength of 1.5418 Å).
Neutral-atom scattering factors, no anomalous dispersion.

Cell and atoms:
```
data_Sm4Co10Si
_cell_length_a 10.802
_cell_length_b 10.802
_cell_length_c 10.802
_cell_angle_alpha 92.85
_cell_angle_beta 92.85
_cell_angle_gamma 154.24
_symmetry_space_group_name_H-M 'P 1'
_symmetry_Int_Tables_number 1
loop_
_symmetry_equiv_pos_as_xyz
'x,y,z'
loop_
_atom_site_label
_atom_site_type_symbol
_atom_site_fract_x
_atom_site_fract_y
_atom_site_fract_z
_atom_site_occupancy
Sm1 Sm 0.019 0.123 0.604 1
Sm2 Sm 0.019 0.415 0.896 1
Sm3 Sm 0.123 0.019 0.104 1
Sm4 Sm 0.415 0.019 0.396 1
Sm5 Sm 0.585 0.981 0.604 1
Sm6 Sm 0.877 0.981 0.896 1
Sm7 Sm 0.981 0.585 0.104 1
Sm8 Sm 0.981 0.877 0.396 1
Co1 Co 0.000 0.500 0.500 1
Co2 Co 0.110 0.254 0.343 1
Co3 Co 0.110 0.767 0.856 1
Co4 Co 0.233 0.589 0.343 1
Co5 Co 0.233 0.890 0.644 1
Co6 Co 0.254 0.110 0.843 1
Co7 Co 0.254 0.411 0.144 1
Co8 Co 0.411 0.254 0.644 1
Co9 Co 0.411 0.767 0.157 1
Co10 Co 0.500 0.000 0.000 1
Co11 Co 0.500 0.500 0.000 1
Co12 Co 0.500 0.500 0.500 1
Co13 Co 0.589 0.233 0.843 1
Co14 Co 0.589 0.746 0.356 1
Co15 Co 0.746 0.589 0.856 1
Co16 Co 0.746 0.890 0.157 1
Co17 Co 0.767 0.110 0.356 1
Co18 Co 0.767 0.411 0.657 1
Co19 Co 0.890 0.233 0.144 1
Co20 Co 0.890 0.746 0.657 1
Si1 Si 0.375 0.625 0.750 1
Si2 Si 0.625 0.375 0.250 1
```

Main lines, sorted by position (5° ≤ 2θ ≤ 70°):
Position (°2θ)  I (rel.)
19.37  33
30.95  84
34.06  65
35.44  43
44.83  100
48.93  33



Record 5
For Sm4Co3Si, DFT lattice parameters and positions (PBE) gives the calculated X-ray diffraction stick pattern in this record (a wavelength of 1.5418 Å).
Neutral-atom scattering factors, no anomalous dispersion.

Cell and atoms:
```
data_Sm4Co3Si
_cell_length_a 4.061
_cell_length_b 4.205
_cell_length_c 10.259
_cell_angle_alpha 90.00
_cell_angle_beta 90.00
_cell_angle_gamma 90.00
_symmetry_space_group_name_H-M 'P 1'
_symmetry_Int_Tables_number 1
loop_
_symmetry_equiv_pos_as_xyz
'x,y,z'
loop_
_atom_site_label
_atom_site_type_symbol
_atom_site_fract_x
_atom_site_fract_y
_atom_site_fract_z
_atom_site_occupancy
Sm1 Sm 0.000 0.000 0.000 1
Sm2 Sm 0.000 0.500 0.492 1
Sm3 Sm 0.500 0.000 0.287 1
Sm4 Sm 0.500 0.500 0.779 1
Co1 Co 0.000 0.000 0.686 1
Co2 Co 0.000 0.500 0.203 1
Co3 Co 0.500 0.000 0.587 1
Si1 Si 0.500 0.500 0.082 1
```

Main lines, sorted by position (5° ≤ 2θ ≤ 70°):
Position (°2θ)  I (rel.)
28.03  47
31.86  100
33.79  62
40.62  33
43.02  24
57.13  27



Record 6
For SmCo9Si4, DFT lattice parameters and positions (PBE) gives the calculated X-ray diffraction stick pattern in this record (a wavelength of 1.5418 Å).
Neutral-atom scattering factors, no anomalous dispersion.

Cell and atoms:
```
data_SmCo9Si4
_cell_length_a 7.912
_cell_length_b 7.912
_cell_length_c 7.912
_cell_angle_alpha 121.57
_cell_angle_beta 121.57
_cell_angle_gamma 87.30
_symmetry_space_group_name_H-M 'P 1'
_symmetry_Int_Tables_number 1
loop_
_symmetry_equiv_pos_as_xyz
'x,y,z'
loop_
_atom_site_label
_atom_site_type_symbol
_atom_site_fract_x
_atom_site_fract_y
_atom_site_fract_z
_atom_site_occupancy
Sm1 Sm 0.250 0.250 0.000 1
Sm2 Sm 0.750 0.750 0.000 1
Co1 Co 0.000 0.500 0.500 1
Co2 Co 0.050 0.550 0.239 1
Co3 Co 0.070 0.801 0.871 1
Co4 Co 0.189 0.950 0.500 1
Co5 Co 0.199 0.070 0.269 1
Co6 Co 0.301 0.570 0.871 1
Co7 Co 0.311 0.811 0.761 1
Co8 Co 0.430 0.301 0.731 1
Co9 Co 0.450 0.689 0.500 1
Co10 Co 0.500 0.000 0.500 1
Co11 Co 0.550 0.311 0.500 1
Co12 Co 0.570 0.699 0.269 1
Co13 Co 0.689 0.189 0.239 1
Co14 Co 0.699 0.430 0.129 1
Co15 Co 0.801 0.930 0.731 1
Co16 Co 0.811 0.050 0.500 1
Co17 Co 0.930 0.199 0.129 1
Co18 Co 0.950 0.450 0.761 1
Si1 Si 0.047 0.210 0.500 1
Si2 Si 0.210 0.710 0.163 1
Si3 Si 0.290 0.453 0.500 1
Si4 Si 0.453 0.953 0.163 1
Si5 Si 0.547 0.047 0.837 1
Si6 Si 0.710 0.547 0.500 1
Si7 Si 0.790 0.290 0.837 1
Si8 Si 0.953 0.790 0.500 1
```

Main lines, sorted by position (5° ≤ 2θ ≤ 70°):
Position (°2θ)  I (rel.)
35.40  21
36.45  21
39.17  24
40.14  100
47.65  38
48.75  31



Record 7
For SrCo9Si4, DFT lattice parameters and positions (PBE) gives the calculated X-ray diffraction stick pattern in this record (a wavelength of 1.5418 Å).
Neutral-atom scattering factors, no anomalous dispersion.

Cell and atoms:
```
data_SrCo9Si4
_cell_length_a 7.961
_cell_length_b 7.961
_cell_length_c 7.961
_cell_angle_alpha 121.63
_cell_angle_beta 121.63
_cell_angle_gamma 87.20
_symmetry_space_group_name_H-M 'P 1'
_symmetry_Int_Tables_number 1
loop_
_symmetry_equiv_pos_as_xyz
'x,y,z'
loop_
_atom_site_label
_atom_site_type_symbol
_atom_site_fract_x
_atom_site_fract_y
_atom_site_fract_z
_atom_site_occupancy
Sr1 Sr 0.250 0.250 0.000 1
Sr2 Sr 0.750 0.750 0.000 1
Co1 Co 0.000 0.500 0.500 1
Co2 Co 0.051 0.551 0.244 1
Co3 Co 0.069 0.801 0.870 1
Co4 Co 0.193 0.949 0.500 1
Co5 Co 0.199 0.069 0.268 1
Co6 Co 0.301 0.569 0.870 1
Co7 Co 0.307 0.807 0.756 1
Co8 Co 0.431 0.301 0.732 1
Co9 Co 0.449 0.693 0.500 1
Co10 Co 0.500 0.000 0.500 1
Co11 Co 0.551 0.307 0.500 1
Co12 Co 0.569 0.699 0.268 1
Co13 Co 0.693 0.193 0.244 1
Co14 Co 0.699 0.431 0.130 1
Co15 Co 0.801 0.931 0.732 1
Co16 Co 0.807 0.051 0.500 1
Co17 Co 0.931 0.199 0.130 1
Co18 Co 0.949 0.449 0.756 1
Si1 Si 0.047 0.209 0.500 1
Si2 Si 0.209 0.709 0.163 1
Si3 Si 0.291 0.453 0.500 1
Si4 Si 0.453 0.953 0.163 1
Si5 Si 0.547 0.047 0.837 1
Si6 Si 0.709 0.547 0.500 1
Si7 Si 0.791 0.291 0.837 1
Si8 Si 0.953 0.791 0.500 1
```

Main lines, sorted by position (5° ≤ 2θ ≤ 70°):
Position (°2θ)  I (rel.)
35.16  17
38.91  20
39.91  100
47.31  57
48.45  48
49.01  28



Record 8
For TaCo6Si, DFT lattice parameters and positions (PBE) gives the calculated X-ray diffraction stick pattern in this record (a wavelength of 1.5418 Å).
Neutral-atom scattering factors, no anomalous dispersion.

Cell and atoms:
```
data_TaCo6Si
_cell_length_a 6.180
_cell_length_b 6.180
_cell_length_c 10.142
_cell_angle_alpha 90.00
_cell_angle_beta 90.00
_cell_angle_gamma 111.00
_symmetry_space_group_name_H-M 'P 1'
_symmetry_Int_Tables_number 1
loop_
_symmetry_equiv_pos_as_xyz
'x,y,z'
loop_
_atom_site_label
_atom_site_type_symbol
_atom_site_fract_x
_atom_site_fract_y
_atom_site_fract_z
_atom_site_occupancy
Ta1 Ta 0.000 0.000 0.248 1
Ta2 Ta 0.000 0.000 0.752 1
Ta3 Ta 0.240 0.760 0.500 1
Ta4 Ta 0.760 0.240 0.500 1
Co1 Co 0.000 0.000 0.000 1
Co2 Co 0.000 0.000 0.500 1
Co3 Co 0.134 0.389 0.121 1
Co4 Co 0.134 0.389 0.879 1
Co5 Co 0.140 0.385 0.370 1
Co6 Co 0.140 0.385 0.630 1
Co7 Co 0.251 0.749 0.242 1
Co8 Co 0.251 0.749 0.758 1
Co9 Co 0.385 0.140 0.370 1
Co10 Co 0.385 0.140 0.630 1
Co11 Co 0.389 0.134 0.121 1
Co12 Co 0.389 0.134 0.879 1
Co13 Co 0.500 0.500 0.000 1
Co14 Co 0.500 0.500 0.500 1
Co15 Co 0.611 0.866 0.121 1
Co16 Co 0.611 0.866 0.879 1
Co17 Co 0.615 0.860 0.370 1
Co18 Co 0.615 0.860 0.630 1
Co19 Co 0.749 0.251 0.242 1
Co20 Co 0.749 0.251 0.758 1
Co21 Co 0.860 0.615 0.370 1
Co22 Co 0.860 0.615 0.630 1
Co23 Co 0.866 0.611 0.121 1
Co24 Co 0.866 0.611 0.879 1
Si1 Si 0.234 0.766 0.000 1
Si2 Si 0.500 0.500 0.244 1
Si3 Si 0.500 0.500 0.756 1
Si4 Si 0.766 0.234 0.000 1
```

Main lines, sorted by position (5° ≤ 2θ ≤ 70°):
Position (°2θ)  I (rel.)
8.72  28
15.36  19
43.97  100
44.10  100
50.81  68
52.26  29